Theoretical X-ray diffraction stick pattern of CaMoRuO6 for Cu Kα X-rays, from a PBE+U-relaxed structure.

The 6 most intense peaks (15 to 90 degrees two-theta), in order of rising 2θ:
2θ 20.5, d 4.324, rel. 23, hkl 1 0 1; 2θ 25.9, d 3.436, rel. 100, hkl 1 1 0; 2θ 33.8, d 2.648, rel. 69, hkl 1 0 3; 2θ 51.0, d 1.790, rel. 61, hkl 2 1 3; 2θ 53.3, d 1.718, rel. 18, hkl 2 2 0; 2θ 64.7, d 1.441, rel. 19, hkl 3 0 3

Structure:
Unit cell a=4.859 b=4.859 c=9.476 alpha=90.00 beta=90.00 gamma=90.00
Space group P4_2nm (No. 102)
Symmetry-distinct sites (fractional):
Ca: 0.000 0.000 0.000 (multiplicity 2)
Mo: 0.000 0.000 0.668 (multiplicity 2)
Ru: 0.000 0.000 0.328 (multiplicity 2)
O: 0.171 0.171 0.498 (multiplicity 4)
O: 0.212 0.212 0.804 (multiplicity 4)
O: 0.216 0.216 0.185 (multiplicity 4)